No. 1
Rb4NaNp3S8: theoretical X-ray powder pattern (CuKα), based on DFT lattice parameters and positions (PBE).
Intensities are scaled so that the largest is 100.

Crystal structure
Lattice parameters (Å, degrees): 8.281 8.281 8.996 117.42 117.42 59.98
Positions (direct):
Rb (0.000, 0.000, 0.000)
Rb (0.000, 0.500, 0.000)
Rb (0.500, 0.000, 0.000)
Rb (0.500, 0.500, 0.000)
Na (0.000, 0.000, 0.500)
Np (0.000, 0.500, 0.500)
Np (0.500, 0.000, 0.500)
Np (0.500, 0.500, 0.500)
S (0.240, 0.708, 0.688)
S (0.241, 0.241, 0.688)
S (0.269, 0.269, 0.309)
S (0.292, 0.760, 0.312)
S (0.708, 0.240, 0.688)
S (0.731, 0.731, 0.691)
S (0.759, 0.759, 0.312)
S (0.760, 0.292, 0.312)

Main lines, by intensity (5 to 70 degrees two-theta):
2θ (°), d (Å), Rel. int.
29.41, 3.037, 100
26.05, 3.421, 51
11.62, 7.618, 37
40.37, 2.234, 36
43.73, 2.070, 35
23.35, 3.809, 26
50.16, 1.819, 22
12.94, 6.842, 20
53.58, 1.711, 18
47.16, 1.927, 16

***

No. 2
La7Ge2H2: theoretical X-ray powder pattern (CuKα), based on DFT lattice parameters and positions (PBE).
Intensities are scaled so that the largest is 100.

Crystal structure
Lattice parameters (Å, degrees): 6.947 6.947 6.619 96.41 96.41 68.98
Positions (direct):
La (0.000, 0.000, 0.000)
La (0.048, 0.481, 0.726)
La (0.429, 0.429, 0.226)
La (0.481, 0.048, 0.726)
La (0.519, 0.952, 0.274)
La (0.571, 0.571, 0.774)
La (0.952, 0.519, 0.274)
Ge (0.168, 0.832, 0.500)
Ge (0.832, 0.168, 0.500)
H (0.385, 0.385, 0.868)
H (0.615, 0.615, 0.132)

Main lines, by intensity (5 to 70 degrees two-theta):
2θ (°), d (Å), Rel. int.
27.59, 3.233, 100
29.57, 3.020, 69
31.54, 2.837, 58
37.38, 2.406, 40
27.99, 3.188, 33
37.53, 2.396, 31
33.36, 2.686, 31
31.79, 2.815, 29
27.20, 3.279, 25
26.42, 3.373, 24

***

No. 3
Rb3FeSe3: theoretical X-ray powder pattern (CuKα), based on DFT lattice parameters and positions (PBE).
Intensities are scaled so that the largest is 100.

Crystal structure
Lattice parameters (Å, degrees): 9.406 8.304 13.354 90.00 99.22 90.00
Positions (direct):
Rb (0.086, 0.162, 0.128)
Rb (0.086, 0.338, 0.628)
Rb (0.303, 0.721, 0.785)
Rb (0.303, 0.779, 0.285)
Rb (0.394, 0.231, 0.919)
Rb (0.394, 0.269, 0.419)
Rb (0.606, 0.731, 0.581)
Rb (0.606, 0.769, 0.081)
Rb (0.697, 0.221, 0.715)
Rb (0.697, 0.279, 0.215)
Rb (0.914, 0.662, 0.372)
Rb (0.914, 0.838, 0.872)
Fe (0.168, 0.578, 0.044)
Fe (0.168, 0.922, 0.544)
Fe (0.832, 0.078, 0.456)
Fe (0.832, 0.422, 0.956)
Se (0.064, 0.064, 0.384)
Se (0.064, 0.436, 0.884)
Se (0.243, 0.653, 0.520)
Se (0.243, 0.847, 0.020)
Se (0.358, 0.062, 0.648)
Se (0.358, 0.438, 0.148)
Se (0.642, 0.562, 0.852)
Se (0.642, 0.938, 0.352)
Se (0.757, 0.153, 0.980)
Se (0.757, 0.347, 0.480)
Se (0.936, 0.564, 0.116)
Se (0.936, 0.936, 0.616)

Main lines, by intensity (5 to 70 degrees two-theta):
2θ (°), d (Å), Rel. int.
30.83, 2.900, 100
29.31, 3.047, 96
30.58, 2.923, 76
37.11, 2.423, 70
29.16, 3.063, 64
24.00, 3.708, 56
12.60, 7.026, 42
30.13, 2.966, 39
23.86, 3.729, 37
35.86, 2.504, 37

***

No. 4
La2Sm6Er5: theoretical X-ray powder pattern (CuKα), based on DFT lattice parameters and positions (PBE).
Intensities are scaled so that the largest is 100.

Crystal structure
Lattice parameters (Å, degrees): 11.825 20.397 3.636 90.00 90.00 90.00
Positions (direct):
La (0.167, 0.219, 0.000)
La (0.333, 0.719, 0.000)
La (0.667, 0.281, 0.000)
La (0.833, 0.781, 0.000)
Sm (0.059, 0.924, 0.000)
Sm (0.079, 0.636, 0.000)
Sm (0.179, 0.377, 0.500)
Sm (0.321, 0.877, 0.500)
Sm (0.421, 0.136, 0.000)
Sm (0.441, 0.424, 0.000)
Sm (0.559, 0.576, 0.000)
Sm (0.579, 0.864, 0.000)
Sm (0.679, 0.123, 0.500)
Sm (0.821, 0.623, 0.500)
Sm (0.921, 0.364, 0.000)
Sm (0.941, 0.076, 0.000)
Er (0.000, 0.500, 0.500)
Er (0.095, 0.780, 0.500)
Er (0.200, 0.054, 0.500)
Er (0.300, 0.554, 0.500)
Er (0.405, 0.280, 0.500)
Er (0.500, 0.000, 0.500)
Er (0.595, 0.720, 0.500)
Er (0.700, 0.446, 0.500)
Er (0.800, 0.946, 0.500)
Er (0.905, 0.220, 0.500)

Main lines, by intensity (5 to 70 degrees two-theta):
2θ (°), d (Å), Rel. int.
31.75, 2.818, 100
31.62, 2.829, 62
30.55, 2.926, 53
31.14, 2.872, 44
33.86, 2.647, 39
31.54, 2.837, 37
60.52, 1.530, 31
36.11, 2.488, 26
34.85, 2.574, 23
50.18, 1.818, 22

***

No. 5
TiBeTc: theoretical X-ray powder pattern (CuKα), based on DFT lattice parameters and positions (PBE).
Intensities are scaled so that the largest is 100.

Crystal structure
Lattice parameters (Å, degrees): 3.154 3.154 7.951 90.00 90.00 90.00
Positions (direct):
Ti (0.000, 0.000, 0.000)
Ti (0.500, 0.500, 0.500)
Be (0.000, 0.000, 0.322)
Be (0.500, 0.500, 0.822)
Tc (0.000, 0.000, 0.678)
Tc (0.500, 0.500, 0.178)

Main lines, by intensity (5 to 70 degrees two-theta):
2θ (°), d (Å), Rel. int.
44.66, 2.029, 100
30.49, 2.932, 92
40.45, 2.230, 68
22.36, 3.975, 40
46.70, 1.945, 23
58.53, 1.577, 22
67.44, 1.389, 18
62.60, 1.484, 14
45.64, 1.988, 9
63.46, 1.466, 9

***

No. 6
K4SmY3Se8: theoretical X-ray powder pattern (CuKα), based on DFT lattice parameters and positions (PBE).
Intensities are scaled so that the largest is 100.

Crystal structure
Lattice parameters (Å, degrees): 9.114 9.114 9.114 55.42 55.42 55.42
Positions (direct):
K (0.000, 0.000, 0.000)
K (0.000, 0.500, 0.500)
K (0.500, 0.000, 0.500)
K (0.500, 0.500, 0.000)
Sm (0.500, 0.500, 0.500)
Y (0.000, 0.000, 0.500)
Y (0.000, 0.500, 0.000)
Y (0.500, 0.000, 0.000)
Se (0.231, 0.738, 0.738)
Se (0.235, 0.235, 0.235)
Se (0.262, 0.262, 0.769)
Se (0.262, 0.769, 0.262)
Se (0.738, 0.231, 0.738)
Se (0.738, 0.738, 0.231)
Se (0.765, 0.765, 0.765)
Se (0.769, 0.262, 0.262)

Main lines, by intensity (5 to 70 degrees two-theta):
2θ (°), d (Å), Rel. int.
28.84, 3.096, 100
11.51, 7.689, 37
42.67, 2.119, 36
39.76, 2.267, 33
52.32, 1.749, 18
36.65, 2.452, 15
69.73, 1.349, 15
65.57, 1.424, 10
50.10, 1.821, 10
59.73, 1.548, 10

***

No. 7
NaPaWN4: theoretical X-ray powder pattern (CuKα), based on DFT lattice parameters and positions (PBE).
Intensities are scaled so that the largest is 100.

Crystal structure
Lattice parameters (Å, degrees): 6.003 5.851 7.453 90.00 110.13 90.00
Positions (direct):
Na (0.158, 0.250, 0.143)
Na (0.842, 0.750, 0.857)
Pa (0.275, 0.750, 0.453)
Pa (0.725, 0.250, 0.547)
W (0.280, 0.250, 0.687)
W (0.720, 0.750, 0.313)
N (0.045, 0.250, 0.805)
N (0.055, 0.250, 0.445)
N (0.486, 0.007, 0.682)
N (0.486, 0.493, 0.682)
N (0.514, 0.507, 0.318)
N (0.514, 0.993, 0.318)
N (0.945, 0.750, 0.555)
N (0.955, 0.750, 0.195)

Main lines, by intensity (5 to 70 degrees two-theta):
2θ (°), d (Å), Rel. int.
12.65, 6.997, 100
19.78, 4.488, 44
29.78, 3.000, 37
30.56, 2.925, 28
36.73, 2.447, 24
29.28, 3.050, 23
37.88, 2.375, 22
33.20, 2.699, 18
44.65, 2.030, 17
31.75, 2.818, 16

***

No. 8
Ce12TlIr6: theoretical X-ray powder pattern (CuKα), based on DFT lattice parameters and positions (PBE).
Intensities are scaled so that the largest is 100.

Crystal structure
Lattice parameters (Å, degrees): 8.502 8.502 8.502 107.09 107.09 107.09
Positions (direct):
Ce (0.000, 0.381, 0.619)
Ce (0.000, 0.619, 0.381)
Ce (0.081, 0.081, 0.345)
Ce (0.081, 0.345, 0.081)
Ce (0.345, 0.081, 0.081)
Ce (0.381, 0.000, 0.619)
Ce (0.381, 0.619, 0.000)
Ce (0.619, 0.000, 0.381)
Ce (0.619, 0.381, 0.000)
Ce (0.655, 0.919, 0.919)
Ce (0.919, 0.655, 0.919)
Ce (0.919, 0.919, 0.655)
Tl (0.500, 0.500, 0.500)
Ir (0.190, 0.769, 0.769)
Ir (0.231, 0.231, 0.810)
Ir (0.231, 0.810, 0.231)
Ir (0.769, 0.190, 0.769)
Ir (0.769, 0.769, 0.190)
Ir (0.810, 0.231, 0.231)

Main lines, by intensity (5 to 70 degrees two-theta):
2θ (°), d (Å), Rel. int.
28.77, 3.103, 100
34.34, 2.612, 92
42.69, 2.118, 81
36.48, 2.463, 67
41.12, 2.195, 62
21.97, 4.046, 59
31.25, 2.862, 53
35.78, 2.509, 40
39.54, 2.279, 35
65.22, 1.431, 35

***

No. 9
Nd2TiSe4: theoretical X-ray powder pattern (CuKα), based on DFT lattice parameters and positions (PBE).
Intensities are scaled so that the largest is 100.

Crystal structure
Lattice parameters (Å, degrees): 7.064 6.698 8.043 90.00 106.43 90.00
Positions (direct):
Nd (0.231, 0.250, 0.058)
Nd (0.235, 0.250, 0.559)
Nd (0.765, 0.750, 0.441)
Nd (0.769, 0.750, 0.942)
Ti (0.253, 0.750, 0.812)
Ti (0.747, 0.250, 0.188)
Se (0.010, 0.506, 0.255)
Se (0.010, 0.994, 0.255)
Se (0.441, 0.750, 0.114)
Se (0.441, 0.750, 0.604)
Se (0.559, 0.250, 0.396)
Se (0.559, 0.250, 0.886)
Se (0.990, 0.006, 0.745)
Se (0.990, 0.494, 0.745)

Main lines, by intensity (5 to 70 degrees two-theta):
2θ (°), d (Å), Rel. int.
32.67, 2.741, 100
29.75, 3.003, 87
35.51, 2.528, 67
18.63, 4.764, 39
26.63, 3.348, 35
37.77, 2.382, 28
50.96, 1.792, 28
45.09, 2.011, 27
42.42, 2.131, 22
42.22, 2.140, 21

***

No. 10
TbU4C5: theoretical X-ray powder pattern (CuKα), based on DFT lattice parameters and positions (PBE).
Intensities are scaled so that the largest is 100.

Crystal structure
Lattice parameters (Å, degrees): 9.264 9.264 9.264 158.27 148.69 38.43
Positions (direct):
Tb (0.000, 0.000, 0.000)
U (0.201, 0.201, 0.000)
U (0.401, 0.401, 0.000)
U (0.599, 0.599, 0.000)
U (0.799, 0.799, 0.000)
C (0.109, 0.609, 0.500)
C (0.303, 0.803, 0.500)
C (0.500, 0.000, 0.500)
C (0.697, 0.197, 0.500)
C (0.891, 0.391, 0.500)

Main lines, by intensity (5 to 70 degrees two-theta):
2θ (°), d (Å), Rel. int.
31.22, 2.865, 100
36.34, 2.472, 41
62.22, 1.492, 30
52.03, 1.758, 30
35.93, 2.499, 21
61.66, 1.504, 16
65.12, 1.432, 15
52.40, 1.746, 7
52.29, 1.750, 7
10.11, 8.748, 1

***

No. 11
Na2Ag4Br5: theoretical X-ray powder pattern (CuKα), based on DFT lattice parameters and positions (PBE).
Intensities are scaled so that the largest is 100.

Crystal structure
Lattice parameters (Å, degrees): 20.644 20.644 20.644 11.47 11.47 11.47
Positions (direct):
Na (0.138, 0.138, 0.138)
Na (0.862, 0.862, 0.862)
Ag (0.319, 0.319, 0.319)
Ag (0.416, 0.416, 0.416)
Ag (0.584, 0.584, 0.584)
Ag (0.681, 0.681, 0.681)
Br (0.225, 0.225, 0.225)
Br (0.374, 0.374, 0.374)
Br (0.500, 0.500, 0.500)
Br (0.626, 0.626, 0.626)
Br (0.775, 0.775, 0.775)

Main lines, by intensity (5 to 70 degrees two-theta):
2θ (°), d (Å), Rel. int.
29.67, 3.011, 100
24.96, 3.567, 81
43.88, 2.063, 77
40.98, 2.202, 50
38.62, 2.331, 35
37.48, 2.399, 21
42.20, 2.141, 20
67.75, 1.383, 20
28.89, 3.090, 18
53.87, 1.702, 18

***

No. 12
Ba5TlCd2: theoretical X-ray powder pattern (CuKα), based on DFT lattice parameters and positions (PBE).
Intensities are scaled so that the largest is 100.

Crystal structure
Lattice parameters (Å, degrees): 7.729 14.927 6.078 90.00 90.00 90.00
Positions (direct):
Ba (0.000, 0.000, 0.000)
Ba (0.160, 0.283, 0.000)
Ba (0.164, 0.606, 0.500)
Ba (0.336, 0.106, 0.500)
Ba (0.340, 0.783, 0.000)
Ba (0.500, 0.500, 0.000)
Ba (0.660, 0.217, 0.000)
Ba (0.664, 0.894, 0.500)
Ba (0.836, 0.394, 0.500)
Ba (0.840, 0.717, 0.000)
Tl (0.000, 0.500, 0.000)
Tl (0.500, 0.000, 0.000)
Cd (0.133, 0.866, 0.500)
Cd (0.367, 0.366, 0.500)
Cd (0.633, 0.634, 0.500)
Cd (0.867, 0.134, 0.500)

Main lines, by intensity (5 to 70 degrees two-theta):
2θ (°), d (Å), Rel. int.
28.04, 3.182, 100
29.39, 3.039, 34
29.90, 2.988, 23
29.26, 3.052, 17
25.96, 3.432, 13
41.95, 2.154, 12
51.31, 1.781, 11
51.25, 1.782, 10
27.35, 3.261, 9
39.61, 2.275, 9